# LiMnIn2Se4
Computed XRD peak list, Cu Ka. Input: a crystal structure in Alexandria, relaxed with PBE.
Intensities are scaled so that the largest is 100.

Crystal structure
```
data_LiMnIn2Se4
_cell_length_a 6.1742
_cell_length_b 6.1742
_cell_length_c 11.7606
_cell_angle_alpha 90.00
_cell_angle_beta 90.00
_cell_angle_gamma 90.00
_symmetry_space_group_name_H-M 'I -4 2 m'
_symmetry_Int_Tables_number 121
_symmetry_space_group_name_Hall 'I -4 2'
loop_
_atom_site_label
_atom_site_type_symbol
_atom_site_fract_x
_atom_site_fract_y
_atom_site_fract_z
_atom_site_occupancy
Li1 Li 0.0000 0.0000 0.0000 1
Mn1 Mn 0.0000 0.0000 0.5000 1
In1 In 0.0000 0.5000 0.2500 1
Se1 Se 0.2445 0.2445 0.6136 1
```

Main lines, low angle first (2θ = 15–90°):
(1 1 0), 2θ = 20.34°, rel. 13.2
(1 1 2), 2θ = 25.41°, rel. 100.0
(2 0 2), 2θ = 32.76°, rel. 13.0
(1 1 4), 2θ = 36.86°, rel. 7.6
(2 2 0), 2θ = 41.36°, rel. 26.8
(2 0 4), 2θ = 42.46°, rel. 47.7
(3 1 2), 2θ = 49.17°, rel. 31.7
(1 1 6), 2θ = 51.08°, rel. 13.5
(4 0 0), 2θ = 59.93°, rel. 8.6
(3 1 6), 2θ = 67.74°, rel. 10.9
(4 2 4), 2θ = 76.18°, rel. 16.2
(5 1 2), 2θ = 81.09°, rel. 7.1